No. 1
The following is a computed powder XRD pattern of GdGeH2O4. It was derived from a crystal structure in OQMD, relaxed with PBE, using Cu Kα.

Largest 10 diffraction maxima, in order of falling intensity, 2θ from 10° to 80°:
28.7°, I 100, hkl 0 2 0; 23.2°, I 100, hkl 1 1 0; 35.2°, I 97, hkl 1 1 -2; 25.5°, I 95, hkl 1 1 -1; 30.0°, I 82, hkl 1 1 1; 18.3°, I 76, hkl 1 0 0; 45.8°, I 57, hkl 2 1 1; 33.7°, I 51, hkl 0 1 2; 20.8°, I 37, hkl 0 1 1; 47.4°, I 36, hkl 2 2 -1

Crystal structure
a b c (Å): 4.977 6.220 6.024
angles (deg): 90.00 102.60 90.00
Space group P2_1/m (No. 11)
Unique sites:
Gd 0.051 0.250 0.179 [2 per cell]
Ge 0.305 0.250 0.712 [2 per cell]
H 0.332 0.750 0.512 [2 per cell]
H 0.500 0.000 0.000 [2 per cell]
O 0.029 0.750 0.467 [2 per cell]
O 0.256 0.025 0.934 [4 per cell]
O 0.455 0.250 0.438 [2 per cell]

***

No. 2
The following is a computed powder XRD pattern of Cu5Ag4. It was derived from a crystal structure in OQMD, relaxed with PBE, using Cu Kα.

Largest 10 diffraction maxima, in order of falling intensity, 2θ from 10° to 80°:
40.2°, I 100, hkl 3 1 0; 40.4°, I 99, hkl 1 1 -3; 46.7°, I 32, hkl 4 0 -3; 46.9°, I 32, hkl 2 0 3; 47.2°, I 31, hkl 0 2 0; 68.5°, I 28, hkl 4 2 -3; 68.7°, I 19, hkl 2 2 3; 68.1°, I 9, hkl 6 0 0; 25.5°, I 5, hkl 1 1 0; 26.5°, I 3, hkl 1 1 -1

Crystal structure
a b c (Å): 8.717 3.853 8.212
angles (deg): 90.00 108.56 90.00
Space group C2/m (No. 12)
Unique sites:
Cu 0.000 0.000 0.000 [2 per cell]
Cu 0.001 0.000 0.326 [4 per cell]
Cu 0.163 0.500 0.220 [4 per cell]
Ag 0.160 0.500 0.889 [4 per cell]
Ag 0.166 0.500 0.556 [4 per cell]

***

No. 3
The following is a computed powder XRD pattern of Nd3CdHg5. It was derived from a crystal structure in OQMD, relaxed with PBE, using Cu Kα.

Largest 10 diffraction maxima, in order of falling intensity, 2θ from 10° to 80°:
33.8°, I 100, hkl 3 0 0; 60.4°, I 26, hkl 3 3 0; 48.5°, I 17, hkl 2 2 2; 67.6°, I 15, hkl 3 0 4; 71.0°, I 5, hkl 6 0 0; 44.0°, I 5, hkl 3 0 2; 56.7°, I 4, hkl 0 0 4; 27.5°, I 3, hkl 0 0 2; 32.8°, I 2, hkl 2 1 1; 23.7°, I 2, hkl 1 1 1

Crystal structure
a b c (Å): 9.2017 9.2017 6.4929
angles (deg): 90.00 90.00 120.00
Space group P6_3/mcm (No. 193)
Unique sites:
Nd 0.0000 0.3482 0.2500 [6 per cell]
Cd 0.0000 0.0000 0.0000 [2 per cell]
Hg 0.0000 0.3159 0.7500 [6 per cell]
Hg 0.3333 0.6667 0.0000 [4 per cell]

***

No. 4
The following is a computed powder XRD pattern of LaSm2AuSe6. It was derived from a crystal structure in OQMD, relaxed with PBE, using Cu Kα.

Largest 10 diffraction maxima, in order of falling intensity, 2θ from 10° to 80°:
35.4°, I 100, hkl -1 2 2; 21.6°, I 88, hkl 1 -1 0; 23.6°, I 81, hkl 0 1 -2; 25.7°, I 72, hkl 0 1 2; 24.9°, I 67, hkl 1 1 0; 36.9°, I 61, hkl 1 2 -2; 32.2°, I 57, hkl 1 -2 1; 38.0°, I 48, hkl 1 -2 2; 42.4°, I 47, hkl 0 3 -2; 40.5°, I 40, hkl 1 -3 0

Crystal structure
a b c (Å): 4.724 7.121 8.649
angles (deg): 93.50 102.76 97.86
Space group P-1 (No. 2)
Unique sites:
La 0.000 0.000 0.000 [1 per cell]
Sm 0.351 0.456 0.720 [2 per cell]
Au 0.000 0.000 0.500 [1 per cell]
Se 0.133 0.303 0.371 [2 per cell]
Se 0.194 0.808 0.301 [2 per cell]
Se 0.452 0.735 0.991 [2 per cell]

***

No. 5
The following is a computed powder XRD pattern of CuCl2. It was derived from a crystal structure in OQMD, relaxed with PBE, using Cu Kα.

Largest 10 diffraction maxima, in order of falling intensity, 2θ from 10° to 80°:
18.7°, I 100, hkl 0 1 1; 18.3°, I 83, hkl 1 1 0; 27.4°, I 69, hkl 1 2 0; 29.3°, I 62, hkl 0 0 2; 53.1°, I 54, hkl 1 2 3; 49.5°, I 50, hkl 3 2 0; 31.1°, I 49, hkl 1 2 1; 28.3°, I 41, hkl 2 0 0; 23.4°, I 29, hkl 1 1 1; 47.9°, I 28, hkl 0 4 0

Crystal structure
a b c (Å): 6.316 7.599 6.098
angles (deg): 90.00 90.00 90.00
Space group Pna2_1 (No. 33)
Unique sites:
Cu 0.082 0.125 0.000 [4 per cell]
Cl 0.068 0.121 0.632 [4 per cell]
Cl 0.085 0.633 0.621 [4 per cell]

***

No. 6
The following is a computed powder XRD pattern of Sm2In8Co. It was derived from a crystal structure in OQMD, relaxed with PBE, using Cu Kα.

Largest 10 diffraction maxima, in order of falling intensity, 2θ from 10° to 80°:
35.1°, I 100, hkl 1 1 3; 38.9°, I 58, hkl 2 0 0; 30.9°, I 50, hkl 1 1 2; 54.4°, I 30, hkl 2 0 5; 68.0°, I 28, hkl 3 1 3; 36.5°, I 25, hkl 0 0 5; 56.2°, I 19, hkl 2 2 0; 67.2°, I 16, hkl 1 1 8; 68.9°, I 15, hkl 2 2 5; 65.5°, I 11, hkl 3 1 2

Crystal structure
a b c (Å): 4.629 4.629 12.311
angles (deg): 90.00 90.00 90.00
Space group P4/mmm (No. 123)
Unique sites:
Sm 0.000 0.000 0.195 [2 per cell]
In 0.000 0.500 0.000 [2 per cell]
In 0.000 0.500 0.382 [4 per cell]
In 0.500 0.500 0.194 [2 per cell]
Co 0.000 0.000 0.500 [1 per cell]

***

No. 7
The following is a computed powder XRD pattern of BaSr3Cu4. It was derived from a crystal structure in OQMD, relaxed with PBE, using Cu Kα.

Largest 10 diffraction maxima, in order of falling intensity, 2θ from 10° to 80°:
29.4°, I 100, hkl 0 1 3; 11.5°, I 60, hkl 0 0 2; 41.6°, I 57, hkl 1 1 0; 33.3°, I 33, hkl 0 1 4; 37.7°, I 32, hkl 1 0 5; 64.6°, I 27, hkl 1 1 8; 51.7°, I 20, hkl 2 0 3; 68.4°, I 17, hkl 1 2 3; 24.3°, I 15, hkl 1 0 1; 55.4°, I 15, hkl 1 1 6

Crystal structure
a b c (Å): 4.3463 4.3463 15.4275
angles (deg): 90.00 90.00 120.00
Space group P3m1 (No. 156)
Unique sites:
Ba 0.0000 0.0000 0.0000 [1 per cell]
Sr 0.0000 0.0000 0.7328 [1 per cell]
Sr 0.6667 0.3333 0.2373 [1 per cell]
Sr 0.6667 0.3333 0.4944 [1 per cell]
Cu 0.0000 0.0000 0.3648 [1 per cell]
Cu 0.3333 0.6667 0.3649 [1 per cell]
Cu 0.3333 0.6667 0.8606 [1 per cell]
Cu 0.6667 0.3333 0.8606 [1 per cell]

***

No. 8
The following is a computed powder XRD pattern of LaPr2Zn2Si4Au2. It was derived from a crystal structure in OQMD, relaxed with PBE, using Cu Kα.

Largest 10 diffraction maxima, in order of falling intensity, 2θ from 10° to 80°:
32.9°, I 100, hkl 1 1 4; 32.6°, I 33, hkl 1 0 7; 27.4°, I 23, hkl 1 0 5; 42.0°, I 21, hkl 0 2 0; 42.5°, I 21, hkl 2 0 0; 44.8°, I 20, hkl 0 1 11; 38.3°, I 17, hkl 0 1 9; 54.1°, I 15, hkl 1 2 7; 29.5°, I 15, hkl 1 1 0; 20.9°, I 14, hkl 0 1 1

Crystal structure
a b c (Å): 4.249 4.303 25.227
angles (deg): 90.00 90.00 90.00
Space group Immm (No. 71)
Unique sites:
La 0.000 0.000 0.000 [2 per cell]
Pr 0.000 0.500 0.148 [4 per cell]
Zn 0.000 0.000 0.250 [4 per cell]
Si 0.000 0.000 0.453 [4 per cell]
Si 0.000 0.500 0.306 [4 per cell]
Au 0.000 0.500 0.404 [4 per cell]

***

No. 9
The following is a computed powder XRD pattern of LaPrB2Ir2C2. It was derived from a crystal structure in OQMD, relaxed with PBE, using Cu Kα.

Largest 10 diffraction maxima, in order of falling intensity, 2θ from 10° to 80°:
34.8°, I 100, hkl 1 1 1; 11.1°, I 79, hkl 0 0 1; 40.1°, I 75, hkl 1 1 2; 33.8°, I 45, hkl 0 0 3; 47.2°, I 38, hkl 2 0 0; 25.7°, I 37, hkl 1 0 1; 59.3°, I 36, hkl 2 0 3; 32.3°, I 25, hkl 1 0 2; 57.3°, I 25, hkl 1 1 4; 79.6°, I 19, hkl 3 1 1

Crystal structure
a b c (Å): 3.854 3.854 7.962
angles (deg): 90.00 90.00 90.00
Space group P4mm (No. 99)
Unique sites:
La 0.000 0.000 0.000 [1 per cell]
Pr 0.500 0.500 0.340 [1 per cell]
B 0.000 0.000 0.521 [1 per cell]
B 0.500 0.500 0.820 [1 per cell]
Ir 0.000 0.500 0.670 [2 per cell]
C 0.000 0.000 0.329 [1 per cell]
C 0.500 0.500 0.012 [1 per cell]

***

No. 10
The following is a computed powder XRD pattern of NdB4Sb. It was derived from a crystal structure in OQMD, relaxed with PBE, using Cu Kα.

Largest 10 diffraction maxima, in order of falling intensity, 2θ from 10° to 80°:
38.3°, I 100, hkl 1 1 2; 19.8°, I 89, hkl 0 0 2; 32.5°, I 63, hkl 1 1 0; 39.5°, I 48, hkl 0 2 2; 52.5°, I 33, hkl 1 1 4; 33.8°, I 27, hkl 0 2 0; 40.1°, I 24, hkl 0 0 4; 63.5°, I 17, hkl 1 3 2; 71.6°, I 16, hkl 2 2 2; 71.7°, I 15, hkl 1 1 6

Crystal structure
a b c (Å): 3.231 5.302 8.984
angles (deg): 90.00 90.00 90.00
Space group Immm (No. 71)
Unique sites:
Nd 0.000 0.000 0.000 [2 per cell]
B 0.000 0.322 0.262 [8 per cell]
Sb 0.000 0.000 0.500 [2 per cell]

***

No. 11
The following is a computed powder XRD pattern of YMgIn4Ni2. It was derived from a crystal structure in OQMD, relaxed with PBE, using Cu Kα.

Largest 10 diffraction maxima, in order of falling intensity, 2θ from 10° to 80°:
32.9°, I 100, hkl 2 1 1; 33.8°, I 57, hkl 0 1 3; 41.6°, I 56, hkl 2 1 3; 42.7°, I 52, hkl 3 1 1; 42.4°, I 46, hkl 0 2 0; 35.9°, I 43, hkl 1 1 3; 40.0°, I 33, hkl 3 0 2; 42.9°, I 32, hkl 2 0 4; 17.4°, I 23, hkl 0 0 2; 22.6°, I 22, hkl 0 1 1

Crystal structure
a b c (Å): 7.536 4.266 10.174
angles (deg): 90.00 90.00 90.00
Space group Amm2 (No. 38)
Unique sites:
Y 0.000 0.000 0.000 [2 per cell]
Mg 0.500 0.000 0.878 [2 per cell]
In 0.206 0.000 0.293 [4 per cell]
In 0.305 0.000 0.583 [4 per cell]
Ni 0.000 0.000 0.716 [2 per cell]
Ni 0.500 0.000 0.151 [2 per cell]

***

No. 12
The following is a computed powder XRD pattern of KHgC3N3O3. It was derived from a crystal structure in OQMD, relaxed with PBE, using Cu Kα.

Largest 10 diffraction maxima, in order of falling intensity, 2θ from 10° to 80°:
10.1°, I 100, hkl 0 0 2; 29.0°, I 52, hkl 2 1 0; 25.0°, I 29, hkl 1 1 1; 31.0°, I 21, hkl 2 0 5; 27.0°, I 20, hkl 3 0 1; 30.7°, I 20, hkl 2 1 2; 13.4°, I 19, hkl 1 0 2; 34.3°, I 18, hkl 0 1 5; 17.5°, I 13, hkl 1 0 3; 51.3°, I 12, hkl 5 1 1

Crystal structure
a b c (Å): 10.075 3.893 17.619
angles (deg): 90.00 90.00 90.00
Space group Pnma (No. 62)
Unique sites:
K 0.085 0.250 0.165 [4 per cell]
Hg 0.150 0.250 0.538 [4 per cell]
C 0.121 0.250 0.966 [4 per cell]
C 0.122 0.250 0.371 [4 per cell]
C 0.126 0.250 0.705 [4 per cell]
N 0.054 0.250 0.428 [4 per cell]
N 0.209 0.250 0.012 [4 per cell]
N 0.211 0.250 0.656 [4 per cell]
O 0.031 0.250 0.920 [4 per cell]
O 0.046 0.250 0.755 [4 per cell]
O 0.186 0.250 0.314 [4 per cell]